1.
Diffraction record for YNi3. The XRD peak list is calculated, not measured: it uses a PBE-relaxed structure and λ = 1.5418 Å (Cu Kα).
Neutral-atom scattering factors, no anomalous dispersion.

Peak list (10 most intense, 5° ≤ 2θ ≤ 70°, sorted by position)
| two_theta | I_rel | hkl |
| --- | --- | --- |
| 33.11 | 25 | 1 0 7 |
| 36.18 | 55 | 1 1 0 |
| 42.23 | 30 | 0 2 1 |
| 42.71 | 100 | 1 1 6 |
| 44.61 | 17 | 0 0 12 |
| 46.15 | 38 | 2 0 5 |
| 49.86 | 10 | 0 2 7 |
| 65.11 | 13 | 3 0 0 |
| 69.48 | 10 | 2 0 14 |
| 69.61 | 19 | 3 0 6 |

Structure:
a = 4.9610 Å, b = 4.9610 Å, c = 24.3759 Å
α = 90.00°, β = 90.00°, γ = 120.00°
Space group R-3m (No. 166, hexagonal axes)
Inequivalent atoms, fractional coordinates:
1 Y 0.0000 0.0000 0.0000
2 Y 0.0000 0.0000 0.1392
3 Ni 0.0000 0.0000 0.3329
4 Ni 0.0000 0.0000 0.5000
5 Ni 0.9999 0.5000 0.0815



2.
Diffraction record for TbTmZr2Sb2. The XRD peak list is calculated, not measured: it uses a PBE-relaxed structure and λ = 1.5418 Å (Cu Kα).
Neutral-atom scattering factors, no anomalous dispersion.

Peak list (10 most intense, 5° ≤ 2θ ≤ 70°, sorted by position)
| two_theta | I_rel | hkl |
| --- | --- | --- |
| 29.63 | 50 | 1 1 0 |
| 31.58 | 99 | 1 1 2 |
| 32.42 | 44 | 0 0 6 |
| 34.27 | 62 | 1 0 5 |
| 36.87 | 100 | 1 1 4 |
| 42.40 | 74 | 2 0 0 |
| 54.34 | 55 | 2 0 6 |
| 55.61 | 31 | 2 1 5 |
| 61.52 | 24 | 2 2 0 |
| 65.75 | 21 | 1 0 11 |

Structure:
a = 4.264 Å, b = 4.264 Å, c = 16.569 Å
α = 90.00°, β = 90.00°, γ = 90.00°
Space group I4mm (No. 107)
Inequivalent atoms, fractional coordinates:
1 Tb 0.000 0.000 0.000
2 Tm 0.000 0.000 0.354
3 Zr 0.000 0.500 0.178
4 Sb 0.000 0.000 0.544
5 Sb 0.000 0.000 0.812